1.
For Mo2Pt3Rh6, a crystal structure in Alexandria, relaxed with PBE gives the calculated powder X-ray diffraction pattern in this record (Cu Kα (weighted mean of Kα1 and Kα2)).

Principal peaks in the range 2θ = 15–90°, by angle:
two_theta, Rel. int., h k l
21.80, 23, 1 0 1
38.10, 33, 0 2 0
40.99, 74, 0 0 3
42.16, 100, 2 2 2
42.26, 45, 0 2 -1
44.14, 37, 0 2 2
44.45, 39, 2 0 2
44.81, 40, 2 2 -1
68.67, 17, 4 2 1
82.95, 19, 4 2 4

Structural model:
Lattice parameters (Å, degrees): 5.468 5.481 6.807 77.79 78.16 60.41
Space group P1 (No. 1)
Symmetry-distinct sites (fractional):
Mo 0.000 0.000 0.000 (multiplicity 1)
Mo 0.242 0.711 0.652 (multiplicity 1)
Pt 0.122 0.106 0.328 (multiplicity 1)
Pt 0.500 0.507 0.002 (multiplicity 1)
Pt 0.724 0.221 0.658 (multiplicity 1)
Rh 0.119 0.612 0.333 (multiplicity 1)
Rh 0.222 0.215 0.672 (multiplicity 1)
Rh 0.501 0.994 0.004 (multiplicity 1)
Rh 0.622 0.096 0.324 (multiplicity 1)
Rh 0.715 0.722 0.653 (multiplicity 1)
Rh 0.996 0.518 0.984 (multiplicity 1)

***

2.
For Mo2Pt5Rh2, a crystal structure in Alexandria, relaxed with PBE gives the calculated powder X-ray diffraction pattern in this record (Cu Kα (weighted mean of Kα1 and Kα2)).

Principal peaks in the range 2θ = 15–90°, by angle:
two_theta, Rel. int., h k l
39.63, 100, 3 1 0
39.75, 99, 1 1 -3
46.16, 97, 0 2 0
67.16, 10, 6 0 0
67.34, 42, 4 2 -3
80.97, 25, 7 1 -3
81.11, 25, 1 3 -3
81.21, 25, 5 1 -6
85.37, 11, 6 2 0
85.68, 12, 2 2 -6

Structural model:
Lattice parameters (Å, degrees): 8.814 3.933 8.326 90.00 108.42 90.00
Space group C2/m (No. 12)
Symmetry-distinct sites (fractional):
Mo 0.001 0.000 0.167 (multiplicity 4)
Pt 0.000 0.000 0.500 (multiplicity 2)
Pt 0.160 0.500 0.384 (multiplicity 4)
Pt 0.163 0.500 0.057 (multiplicity 4)
Rh 0.166 0.500 0.724 (multiplicity 4)

***

3.
For Mo2PtRh, a crystal structure in Alexandria, relaxed with PBE gives the calculated powder X-ray diffraction pattern in this record (Cu Kα (weighted mean of Kα1 and Kα2)).

Principal peaks in the range 2θ = 15–90°, by angle:
two_theta, Rel. int., h k l
26.31, 8, 1 0 0
31.01, 14, 1 0 1
37.55, 73, 1 1 0
42.34, 100, 1 0 2
54.16, 25, 2 0 0
63.96, 4, 1 1 3
68.23, 5, 0 0 4
71.05, 43, 2 1 2
80.15, 8, 2 2 0
80.58, 14, 1 1 4

Structural model:
Lattice parameters (Å, degrees): 3.387 3.387 5.498 90.00 90.00 90.00
Space group P4/mmm (No. 123)
Symmetry-distinct sites (fractional):
Mo 0.000 0.000 0.225 (multiplicity 2)
Pt 0.500 0.500 0.500 (multiplicity 1)
Rh 0.500 0.500 0.000 (multiplicity 1)

***

4.
For MoPt4Rh4, a crystal structure in Alexandria, relaxed with PBE gives the calculated powder X-ray diffraction pattern in this record (Cu Kα (weighted mean of Kα1 and Kα2)).

Principal peaks in the range 2θ = 15–90°, by angle:
two_theta, Rel. int., h k l
39.90, 100, 2 1 1
40.09, 33, 1 0 -2
46.39, 22, 1 2 -1
46.40, 22, 2 -1 0
46.58, 21, 1 1 3
67.63, 14, 2 3 2
67.79, 14, 3 1 -1
68.00, 14, 0 1 -4
81.57, 17, 3 3 0
81.81, 12, 2 2 -3

Structural model:
Lattice parameters (Å, degrees): 4.794 4.801 6.159 82.64 74.90 80.41
Space group P1 (No. 1)
Symmetry-distinct sites (fractional):
Mo 0.000 0.000 0.000 (multiplicity 1)
Pt 0.223 0.443 0.110 (multiplicity 1)
Pt 0.334 0.667 0.667 (multiplicity 1)
Pt 0.453 0.883 0.221 (multiplicity 1)
Pt 0.564 0.104 0.775 (multiplicity 1)
Rh 0.114 0.220 0.559 (multiplicity 1)
Rh 0.681 0.317 0.329 (multiplicity 1)
Rh 0.791 0.545 0.893 (multiplicity 1)
Rh 0.895 0.770 0.440 (multiplicity 1)

***

5.
For TcMoPt2Rh2, a crystal structure in Alexandria, relaxed with PBE gives the calculated powder X-ray diffraction pattern in this record (Cu Kα (weighted mean of Kα1 and Kα2)).

Principal peaks in the range 2θ = 15–90°, by angle:
two_theta, Rel. int., h k l
18.12, 36, 1 0 0
36.77, 82, 0 0 3
36.95, 37, 0 2 1
38.84, 32, 1 0 -3
39.48, 100, 1 2 0
40.85, 32, 0 1 3
41.41, 56, 2 0 -2
42.23, 37, 1 2 1
42.87, 33, 0 2 2
45.43, 63, 1 2 -2

Structural model:
Lattice parameters (Å, degrees): 4.943 5.160 7.401 90.00 98.02 90.00
Space group P2_1/m (No. 11)
Symmetry-distinct sites (fractional):
Tc 0.101 0.250 0.422 (multiplicity 2)
Mo 0.064 0.750 0.276 (multiplicity 2)
Pt 0.452 0.501 0.680 (multiplicity 4)
Rh 0.116 0.750 0.908 (multiplicity 2)
Rh 0.359 0.250 0.990 (multiplicity 2)

***

6.
For Mo9Ru4Pt11, a crystal structure in Alexandria, relaxed with PBE gives the calculated powder X-ray diffraction pattern in this record (Cu Kα (weighted mean of Kα1 and Kα2)).

Principal peaks in the range 2θ = 15–90°, by angle:
two_theta, Rel. int., h k l
22.19, 21, 0 5 1
39.74, 63, 1 5 1
41.02, 100, 0 5 5
41.70, 34, 1 6 0
42.92, 38, 0 10 0
43.22, 56, 1 0 4
62.54, 25, 1 10 4
70.09, 21, 1 11 5
78.61, 25, 1 5 9
82.73, 25, 2 5 5

Structural model:
Lattice parameters (Å, degrees): 2.752 21.074 12.898 90.00 90.00 90.00
Space group Amm2 (No. 38)
Symmetry-distinct sites (fractional):
Mo 0.000 0.000 0.000 (multiplicity 2)
Mo 0.000 0.094 0.460 (multiplicity 4)
Mo 0.000 0.095 0.683 (multiplicity 4)
Mo 0.000 0.209 0.176 (multiplicity 4)
Mo 0.000 0.214 0.963 (multiplicity 4)
Ru 0.000 0.090 0.246 (multiplicity 4)
Ru 0.000 0.099 0.888 (multiplicity 4)
Pt 0.500 0.000 0.361 (multiplicity 2)
Pt 0.500 0.000 0.576 (multiplicity 2)
Pt 0.500 0.000 0.799 (multiplicity 2)
Pt 0.500 0.114 0.068 (multiplicity 4)
Pt 0.500 0.186 0.358 (multiplicity 4)
Pt 0.500 0.189 0.570 (multiplicity 4)
Pt 0.500 0.193 0.779 (multiplicity 4)

***

7.
For Mo2Ru2Pt, a crystal structure in Alexandria, relaxed with PBE gives the calculated powder X-ray diffraction pattern in this record (Cu Kα (weighted mean of Kα1 and Kα2)).

Principal peaks in the range 2θ = 15–90°, by angle:
two_theta, Rel. int., h k l
34.64, 26, 2 2 0
35.59, 17, 1 1 1
38.88, 100, 3 1 0
39.74, 45, 2 0 1
41.69, 91, 2 1 1
50.51, 26, 3 1 1
56.16, 14, 4 2 0
73.65, 20, 5 1 1
77.59, 16, 5 2 1
77.96, 26, 3 1 2

Structural model:
Lattice parameters (Å, degrees): 7.324 7.324 2.889 90.00 90.00 90.00
Space group P4/mbm (No. 127)
Symmetry-distinct sites (fractional):
Mo 0.168 0.332 0.000 (multiplicity 4)
Ru 0.131 0.631 0.500 (multiplicity 4)
Pt 0.000 0.000 0.500 (multiplicity 2)

***

8.
For MoRuPt2, a crystal structure in Alexandria, relaxed with PBE gives the calculated powder X-ray diffraction pattern in this record (Cu Kα (weighted mean of Kα1 and Kα2)).

Principal peaks in the range 2θ = 15–90°, by angle:
two_theta, Rel. int., h k l
39.50, 51, 4 0 0
39.68, 51, 2 0 -2
39.92, 100, 1 1 1
45.86, 33, 2 0 2
46.42, 65, 3 1 -1
67.19, 21, 5 1 1
67.44, 21, 1 1 -3
80.80, 19, 0 0 4
81.32, 13, 5 1 -3
81.79, 13, 4 2 0

Structural model:
Lattice parameters (Å, degrees): 9.256 2.750 4.827 90.00 99.62 90.00
Space group Cm (No. 8)
Symmetry-distinct sites (fractional):
Mo 0.000 0.000 0.000 (multiplicity 2)
Ru 0.244 0.500 0.238 (multiplicity 2)
Pt 0.250 0.000 0.749 (multiplicity 2)
Pt 0.493 0.000 0.489 (multiplicity 2)